Nd4PdO7: theoretical X-ray powder pattern (copper Kα), based on a DFT-relaxed cell (GGA-PBE, the Materials Project).

Crystal structure
```
data_Nd4PdO7
_symmetry_space_group_name_H-M 'P 1'
_symmetry_Int_Tables_number 1
_symmetry_space_group_name_Hall 'P 1'
_cell_length_a 6.9732
_cell_length_b 7.3178
_cell_length_c 8.0154
_cell_angle_alpha 70.11
_cell_angle_beta 71.99
_cell_angle_gamma 83.71
loop_
_atom_site_label
_atom_site_fract_x
_atom_site_fract_y
_atom_site_fract_z
Nd1 0.1452 0.3537 0.3570
Nd2 0.1681 0.3340 0.8768
Nd3 0.2782 0.8905 0.7114
Nd4 0.2900 0.8979 0.2261
Nd5 0.7100 0.1021 0.7739
Nd6 0.7218 0.1095 0.2886
Nd7 0.8319 0.6660 0.1232
Nd8 0.8548 0.6463 0.6430
Pd1 0.5000 0.5000 0.0000
Pd2 0.5000 0.5000 0.5000
O1 0.0317 0.2539 0.6771
O2 0.0696 0.1700 0.1970
O3 0.2049 0.5839 0.0087
O4 0.2326 0.6397 0.5830
O5 0.3442 0.0432 0.9013
O6 0.3538 0.0825 0.3980
O7 0.4459 0.5669 0.2435
O8 0.5541 0.4331 0.7565
O9 0.6462 0.9175 0.6020
O10 0.6558 0.9568 0.0987
O11 0.7674 0.3603 0.4170
O12 0.7951 0.4161 0.9913
O13 0.9304 0.8300 0.8030
O14 0.9683 0.7461 0.3229
```

Top 10 peaks for 2θ = 10–90°, by angle:
2theta  Rel. int.  hkl
26.89  17  2 0 0
29.23  88  1 2 2
29.30  86  1 -2 0
29.86  55  2 1 0
30.87  100  2 0 2
31.52  67  0 1 -2
41.61  27  1 3 0
43.04  31  3 -1 0
45.38  34  1 1 4
52.53  18  -2 3 2